Calculated XRD peak list of NaW9O27 for Cu Ka, from a structure optimized by DFT (GGA+U).
No peak broadening, texture or thermal motion is included.

Atomic structure:
Cell: 9.4811 9.4811 20.1112 Å, 90.00 90.00 120.00°
Space group R-3 (No. 148, hexagonal axes)
One atom of each set of equivalent atoms:
Na: 0.0000 0.0000 0.0000 [3 per cell]
W: 0.0000 0.0000 0.1676 [6 per cell]
W: 0.0000 0.0000 0.5000 [3 per cell]
W: 0.0011 0.3324 0.3893 [18 per cell]
O: 0.0002 0.1649 0.1099 [18 per cell]
O: 0.9996 0.1663 0.4445 [18 per cell]
O: 0.0002 0.1669 0.7778 [18 per cell]
O: 0.0000 0.5000 0.0000 [9 per cell]
O: 0.0036 0.5019 0.6666 [18 per cell]

The 10 most intense peaks (10° ≤ 2θ ≤ 90°), most intense first:
| d/Å | two_theta | I (rel.) |
| --- | --- | --- |
| 3.871 | 22.98 | 100 |
| 2.737 | 32.72 | 59 |
| 1.731 | 52.89 | 41 |
| 1.580 | 58.40 | 24 |
| 1.935 | 46.95 | 21 |
| 1.290 | 73.39 | 19 |
| 2.235 | 40.36 | 14 |
| 1.368 | 68.58 | 12 |
| 1.224 | 78.08 | 11 |
| 1.167 | 82.69 | 7 |